Theoretical powder diffractogram
Compound: Rb2Cd3Se4
Radiation: CuKα
Structure: a DFT-relaxed cell (PBE, Alexandria)
Peak positions follow from Bragg's law for the DFT cell and can differ from measured ones.

Crystal structure
abc: 14.898 11.190 6.958
angles: 90.00 90.00 90.00
Space group Pnma (No. 62)
Asymmetric unit:
Rb  0.000  0.000  0.000 x4
Rb  0.038  0.250  0.478 x4
Cd  0.206  0.750  0.248 x4
Cd  0.245  0.095  0.181 x8
Se  0.139  0.538  0.399 x8
Se  0.140  0.250  0.957 x4
Se  0.152  0.750  0.887 x4

Most intense lines, 5 to 70 degrees two-theta, low angle first:
| 2θ/deg | I/Imax |
| --- | --- |
| 11.88 | 54 |
| 27.20 | 100 |
| 27.79 | 16 |
| 28.31 | 42 |
| 29.70 | 39 |
| 31.39 | 20 |
| 36.47 | 38 |
| 39.83 | 18 |
| 41.87 | 26 |
| 43.97 | 14 |
| 49.05 | 17 |
| 50.49 | 14 |

Theoretical powder diffractogram
Compound: Rb2SrCd2Se4
Radiation: CuKα
Structure: a DFT-relaxed cell (PBE, Alexandria)
Peak positions follow from Bragg's law for the DFT cell and can differ from measured ones.

Crystal structure
abc: 16.905 4.450 8.359
angles: 90.00 109.38 90.00
Space group C2/m (No. 12)
Asymmetric unit:
Rb  0.123  0.000  0.048 x4
Sr  0.000  0.000  0.500 x2
Cd  0.171  0.500  0.478 x4
Se  0.020  0.500  0.255 x4
Se  0.207  0.000  0.682 x4

Most intense lines, 5 to 70 degrees two-theta, low angle first:
| 2θ/deg | I/Imax |
| --- | --- |
| 11.22 | 67 |
| 24.51 | 36 |
| 25.98 | 30 |
| 26.15 | 35 |
| 28.24 | 22 |
| 29.38 | 60 |
| 30.73 | 100 |
| 31.76 | 20 |
| 38.39 | 28 |
| 38.53 | 24 |
| 40.54 | 39 |
| 47.98 | 30 |

Theoretical powder diffractogram
Compound: RbTaCdSe4
Radiation: CuKα
Structure: a DFT-relaxed cell (PBE, Alexandria)
Peak positions follow from Bragg's law for the DFT cell and can differ from measured ones.

Crystal structure
abc: 6.326 7.992 9.965
angles: 90.00 105.55 90.00
Space group P2_1/m (No. 11)
Asymmetric unit:
Rb  0.215  0.250  0.388 x2
Ta  0.337  0.750  0.208 x2
Cd  0.176  0.250  0.824 x2
Se  0.051  0.750  0.990 x2
Se  0.183  0.750  0.407 x2
Se  0.439  0.001  0.782 x4

Most intense lines, 5 to 70 degrees two-theta, low angle first:
| 2θ/deg | I/Imax |
| --- | --- |
| 14.42 | 100 |
| 18.48 | 25 |
| 21.60 | 20 |
| 22.25 | 40 |
| 26.54 | 38 |
| 26.68 | 20 |
| 26.93 | 25 |
| 27.82 | 20 |
| 32.29 | 33 |
| 41.68 | 27 |
| 45.39 | 45 |
| 47.33 | 22 |

Theoretical powder diffractogram
Compound: Rb2U3CdSe8
Radiation: CuKα
Structure: a DFT-relaxed cell (PBE, Alexandria)
Peak positions follow from Bragg's law for the DFT cell and can differ from measured ones.

Crystal structure
abc: 8.2965 8.2965 25.8710
angles: 90.00 90.00 120.00
Space group R3m (No. 160, hexagonal axes)
Asymmetric unit:
Rb  0.0000  0.0000  0.0000 x3
Rb  0.0000  0.0000  0.3493 x3
U  0.1685  0.3369  0.1847 x9
Cd  0.0000  0.0000  0.8413 x3
Se  0.0000  0.0000  0.1268 x3
Se  0.0000  0.0000  0.5787 x3
Se  0.0119  0.5060  0.1221 x9
Se  0.1704  0.3408  0.9109 x9

Most intense lines, 5 to 70 degrees two-theta, low angle first:
| 2θ/deg | I/Imax |
| --- | --- |
| 10.26 | 100 |
| 23.80 | 9 |
| 25.02 | 23 |
| 28.42 | 68 |
| 34.83 | 38 |
| 37.41 | 28 |
| 43.64 | 30 |
| 44.95 | 17 |
| 46.13 | 16 |
| 52.90 | 12 |
| 55.95 | 8 |
| 57.00 | 9 |

Theoretical powder diffractogram
Compound: RbCdSi
Radiation: CuKα
Structure: a DFT-relaxed cell (PBE, Alexandria)
Peak positions follow from Bragg's law for the DFT cell and can differ from measured ones.

Crystal structure
abc: 4.508 4.768 12.280
angles: 86.35 80.20 61.81
Space group P1 (No. 1)
Asymmetric unit:
Rb  0.000  0.000  0.000 x1
Rb  0.459  0.655  0.379 x1
Cd  0.429  0.332  0.794 x1
Cd  0.683  0.021  0.580 x1
Si  0.763  0.669  0.791 x1
Si  0.979  0.403  0.609 x1

Most intense lines, 5 to 70 degrees two-theta, low angle first:
| 2θ/deg | I/Imax |
| --- | --- |
| 7.31 | 100 |
| 22.57 | 15 |
| 22.71 | 18 |
| 24.78 | 17 |
| 24.99 | 26 |
| 25.58 | 25 |
| 31.03 | 12 |
| 34.37 | 12 |
| 37.16 | 15 |
| 37.94 | 11 |
| 40.00 | 13 |
| 46.04 | 9 |

Theoretical powder diffractogram
Compound: RbSm2Cd
Radiation: CuKα
Structure: a DFT-relaxed cell (PBE, Alexandria)
Peak positions follow from Bragg's law for the DFT cell and can differ from measured ones.

Crystal structure
abc: 3.7171 3.7171 38.1630
angles: 90.00 90.00 120.00
Space group R-3m (No. 166, hexagonal axes)
Asymmetric unit:
Rb  0.0000  0.0000  0.0000 x3
Sm  0.0000  0.0000  0.1026 x6
Cd  0.0000  0.0000  0.5000 x3

Most intense lines, 5 to 70 degrees two-theta, low angle first:
| 2θ/deg | I/Imax |
| --- | --- |
| 6.95 | 100 |
| 20.95 | 29 |
| 27.81 | 34 |
| 28.10 | 75 |
| 30.13 | 67 |
| 33.59 | 51 |
| 36.52 | 92 |
| 49.01 | 40 |
| 53.84 | 22 |
| 56.02 | 25 |
| 57.44 | 19 |
| 62.64 | 19 |

Theoretical powder diffractogram
Compound: Rb3CdSn
Radiation: CuKα
Structure: a DFT-relaxed cell (PBE, Alexandria)
Peak positions follow from Bragg's law for the DFT cell and can differ from measured ones.

Crystal structure
abc: 12.549 11.048 9.257
angles: 90.00 125.27 90.00
Space group C2/m (No. 12)
Asymmetric unit:
Rb  0.032  0.000  0.259 x4
Rb  0.217  0.299  0.229 x8
Cd  0.172  0.500  0.847 x4
Sn  0.101  0.500  0.462 x4

Most intense lines, 5 to 70 degrees two-theta, low angle first:
| 2θ/deg | I/Imax |
| --- | --- |
| 11.77 | 37 |
| 12.62 | 39 |
| 16.04 | 48 |
| 23.69 | 40 |
| 25.39 | 100 |
| 26.10 | 84 |
| 27.34 | 55 |
| 30.63 | 100 |
| 32.40 | 64 |
| 33.91 | 50 |
| 38.52 | 44 |
| 51.18 | 32 |

Theoretical powder diffractogram
Compound: Rb3Cd8Sn
Radiation: CuKα
Structure: a DFT-relaxed cell (PBE, Alexandria)
Peak positions follow from Bragg's law for the DFT cell and can differ from measured ones.

Crystal structure
abc: 6.3733 6.3733 31.5331
angles: 90.00 90.00 120.00
Space group R3m (No. 160, hexagonal axes)
Asymmetric unit:
Rb  0.0000  0.0000  0.0000 x3
Rb  0.0000  0.0000  0.1268 x3
Rb  0.0000  0.0000  0.5030 x3
Cd  0.0000  0.0000  0.3134 x3
Cd  0.0000  0.0000  0.8137 x3
Cd  0.0029  0.5014  0.5678 x9
Cd  0.1705  0.3410  0.3933 x9
Sn  0.0000  0.0000  0.6216 x3

Most intense lines, 5 to 70 degrees two-theta, low angle first:
| 2θ/deg | I/Imax |
| --- | --- |
| 17.02 | 11 |
| 27.81 | 14 |
| 28.00 | 14 |
| 32.71 | 37 |
| 32.90 | 100 |
| 34.12 | 14 |
| 34.43 | 49 |
| 39.88 | 11 |
| 52.60 | 18 |
| 52.71 | 17 |
| 57.46 | 19 |
| 57.87 | 21 |

Theoretical powder diffractogram
Compound: RbCdSn3
Radiation: CuKα
Structure: a DFT-relaxed cell (PBE, Alexandria)
Peak positions follow from Bragg's law for the DFT cell and can differ from measured ones.

Crystal structure
abc: 13.150 5.352 4.973
angles: 90.00 112.20 90.00
Space group Cm (No. 8)
Asymmetric unit:
Rb  0.000  0.000  0.000 x2
Cd  0.377  0.000  0.377 x2
Sn  0.116  0.500  0.616 x2
Sn  0.243  0.000  0.743 x2
Sn  0.259  0.500  0.258 x2

Most intense lines, 5 to 70 degrees two-theta, low angle first:
| 2θ/deg | I/Imax |
| --- | --- |
| 14.55 | 19 |
| 27.58 | 18 |
| 28.39 | 32 |
| 28.55 | 100 |
| 33.48 | 45 |
| 36.12 | 36 |
| 38.54 | 57 |
| 40.71 | 21 |
| 44.46 | 19 |
| 50.08 | 29 |
| 55.55 | 16 |
| 56.89 | 17 |

Theoretical powder diffractogram
Compound: Rb3Cd6Sn5
Radiation: CuKα
Structure: a DFT-relaxed cell (PBE, Alexandria)
Peak positions follow from Bragg's law for the DFT cell and can differ from measured ones.

Crystal structure
abc: 4.804 14.243 13.092
angles: 90.00 90.00 90.00
Space group Pmmn (No. 59, origin choice 2)
Asymmetric unit:
Rb  0.250  0.103  0.243 x4
Rb  0.250  0.750  0.253 x2
Cd  0.250  0.060  0.870 x4
Cd  0.250  0.250  0.517 x2
Cd  0.250  0.250  0.989 x2
Cd  0.250  0.579  0.490 x4
Sn  0.250  0.075  0.644 x4
Sn  0.250  0.615  0.998 x4
Sn  0.250  0.750  0.615 x2

Most intense lines, 5 to 70 degrees two-theta, low angle first:
| 2θ/deg | I/Imax |
| --- | --- |
| 13.53 | 25 |
| 27.61 | 26 |
| 27.77 | 20 |
| 29.77 | 100 |
| 37.44 | 36 |
| 37.90 | 23 |
| 38.30 | 48 |
| 39.20 | 15 |
| 39.29 | 14 |
| 49.75 | 13 |
| 54.34 | 16 |
| 55.42 | 13 |

Theoretical powder diffractogram
Compound: RbCd6Sn3
Radiation: CuKα
Structure: a DFT-relaxed cell (PBE, Alexandria)
Peak positions follow from Bragg's law for the DFT cell and can differ from measured ones.

Crystal structure
abc: 7.643 8.236 10.627
angles: 90.00 123.35 90.00
Space group P2_1/c (No. 14)
Asymmetric unit:
Rb  0.000  0.000  0.000 x2
Cd  0.157  0.029  0.659 x4
Cd  0.201  0.709  0.852 x4
Cd  0.478  0.734  0.227 x4
Sn  0.266  0.152  0.413 x4
Sn  0.500  0.000  0.000 x2

Most intense lines, 5 to 70 degrees two-theta, low angle first:
| 2θ/deg | I/Imax |
| --- | --- |
| 25.74 | 22 |
| 29.59 | 29 |
| 32.14 | 69 |
| 32.31 | 100 |
| 34.23 | 69 |
| 34.78 | 60 |
| 35.35 | 49 |
| 35.59 | 21 |
| 36.43 | 45 |
| 37.41 | 61 |
| 37.65 | 25 |
| 54.61 | 24 |

Theoretical powder diffractogram
Compound: Rb2Cd3Sn6
Radiation: CuKα
Structure: a DFT-relaxed cell (PBE, Alexandria)
Peak positions follow from Bragg's law for the DFT cell and can differ from measured ones.

Crystal structure
abc: 8.9432 8.9432 5.1394
angles: 90.00 90.00 120.00
Space group P-62m (No. 189)
Asymmetric unit:
Rb  0.3333  0.6667  0.0000 x2
Cd  0.0000  0.3891  0.5000 x3
Sn  0.0000  0.1967  0.0000 x3
Sn  0.0000  0.7216  0.5000 x3

Most intense lines, 5 to 70 degrees two-theta, low angle first:
| 2θ/deg | I/Imax |
| --- | --- |
| 11.42 | 16 |
| 26.42 | 75 |
| 30.54 | 23 |
| 34.75 | 23 |
| 34.92 | 37 |
| 35.28 | 100 |
| 39.04 | 16 |
| 42.06 | 18 |
| 50.08 | 16 |
| 55.78 | 16 |
| 57.39 | 16 |
| 62.85 | 19 |